Entry 1:
Simulated powder XRD pattern
Compound: Y3TaO7
Radiation: λ = 1.5418 Å (Cu Kα)
Structure: a structure optimized by DFT (PBE)
Peak positions follow from Bragg's law for the DFT cell and can differ from measured ones.

Atomic structure:
```
data_Y3TaO7
_cell_length_a 7.616
_cell_length_b 10.587
_cell_length_c 7.487
_cell_angle_alpha 90.00
_cell_angle_beta 90.00
_cell_angle_gamma 90.00
_space_group_name_H-M_alt 'C 2 2 21'
_space_group_IT_number 20
_space_group_name_Hall 'C 2c 2'
loop_
_atom_site_label
_atom_site_type_symbol
_atom_site_fract_x
_atom_site_fract_y
_atom_site_fract_z
Y1 Y 0.039 0.000 0.000
Y2 Y 0.233 0.268 0.759
Ta1 Ta 0.002 0.500 0.000
O1 O 0.000 0.129 0.250
O2 O 0.000 0.140 0.750
O3 O 0.000 0.433 0.750
O4 O 0.176 0.371 0.045
O5 O 0.205 0.377 0.477
```

Largest 8 diffraction maxima, by angle, 2θ from 10° to 90°:
d (Å), Rel. int., h k l
6.182, 27, 1 1 0
3.202, 19, 1 1 2
3.091, 100, 2 2 0
3.056, 96, 0 2 2
2.669, 40, 2 0 2
1.880, 58, 2 4 2
1.616, 24, 4 2 2
1.601, 39, 2 2 4



Entry 2:
Simulated powder XRD pattern
Compound: Y3TaO7
Radiation: λ = 1.5418 Å (Cu Kα)
Structure: a structure optimized by DFT (PBE)
Peak positions follow from Bragg's law for the DFT cell and can differ from measured ones.

Atomic structure:
```
data_Y3TaO7
_cell_length_a 7.478
_cell_length_b 14.521
_cell_length_c 5.375
_cell_angle_alpha 90.00
_cell_angle_beta 90.00
_cell_angle_gamma 90.00
_space_group_name_H-M_alt 'C m m e'
_space_group_IT_number 67
_space_group_name_Hall '-C 2a 2'
loop_
_atom_site_label
_atom_site_type_symbol
_atom_site_fract_x
_atom_site_fract_y
_atom_site_fract_z
Y1 Y 0.000 0.119 0.028
Y2 Y 0.250 0.250 0.500
Ta1 Ta 0.250 0.000 0.500
O1 O 0.000 0.012 0.288
O2 O 0.000 0.250 0.257
O3 O 0.219 0.119 0.736
```

Largest 8 diffraction maxima, by angle, 2θ from 10° to 90°:
d (Å), Rel. int., h k l
7.260, 28, 0 2 0
3.069, 100, 2 0 1
3.008, 96, 0 4 1
2.688, 19, 0 0 2
2.604, 37, 2 4 0
1.870, 68, 2 4 2
1.588, 28, 4 4 1
1.562, 26, 2 8 1



Entry 3:
Simulated powder XRD pattern
Compound: YTaO4
Radiation: λ = 1.5418 Å (Cu Kα)
Structure: a structure optimized by DFT (PBE)
Peak positions follow from Bragg's law for the DFT cell and can differ from measured ones.

Atomic structure:
```
data_YTaO4
_cell_length_a 5.162
_cell_length_b 5.543
_cell_length_c 5.351
_cell_angle_alpha 90.00
_cell_angle_beta 96.52
_cell_angle_gamma 90.00
_space_group_name_H-M_alt 'P 1 2/c 1'
_space_group_IT_number 13
_space_group_name_Hall '-P 2yc'
loop_
_atom_site_label
_atom_site_type_symbol
_atom_site_fract_x
_atom_site_fract_y
_atom_site_fract_z
Y1 Y 0.000 0.232 0.250
Ta1 Ta 0.500 0.308 0.750
O1 O 0.250 0.088 0.601
O2 O 0.270 0.434 0.997
```

Largest 8 diffraction maxima, by angle, 2θ from 10° to 90°:
d (Å), Rel. int., h k l
5.128, 19, 1 0 0
3.837, 17, 0 1 1
3.201, 100, 1 1 -1
2.958, 80, 1 1 1
2.658, 23, 0 0 2
1.960, 18, 2 0 -2
1.918, 21, 0 2 2
1.882, 21, 2 2 0



Entry 4:
Simulated powder XRD pattern
Compound: Y7Ta3O18
Radiation: λ = 1.5418 Å (Cu Kα)
Structure: a structure optimized by DFT (PBE)
Peak positions follow from Bragg's law for the DFT cell and can differ from measured ones.

Atomic structure:
```
data_Y7Ta3O18
_cell_length_a 6.435
_cell_length_b 6.449
_cell_length_c 18.824
_cell_angle_alpha 89.76
_cell_angle_beta 89.93
_cell_angle_gamma 70.32
_space_group_name_H-M_alt 'P -1'
_space_group_IT_number 2
_space_group_name_Hall '-P 1'
loop_
_atom_site_label
_atom_site_type_symbol
_atom_site_fract_x
_atom_site_fract_y
_atom_site_fract_z
Y1 Y 0.000 0.000 0.000
Y2 Y 0.000 0.500 0.500
Y3 Y 0.001 0.003 0.394
Y4 Y 0.001 0.003 0.802
Y5 Y 0.031 0.502 0.301
Y6 Y 0.036 0.502 0.900
Y7 Y 0.498 0.963 0.100
Y8 Y 0.498 0.971 0.700
Ta1 Ta 0.497 0.498 0.411
Ta2 Ta 0.499 0.498 0.204
Ta3 Ta 0.500 0.000 0.500
Ta4 Ta 0.500 0.500 0.000
O1 O 0.127 0.129 0.099
O2 O 0.130 0.130 0.705
O3 O 0.137 0.137 0.301
O4 O 0.138 0.139 0.899
O5 O 0.153 0.615 0.405
O6 O 0.170 0.112 0.492
O7 O 0.177 0.565 0.190
O8 O 0.177 0.572 0.013
O9 O 0.178 0.575 0.786
O10 O 0.178 0.590 0.606
O11 O 0.407 0.367 0.500
O12 O 0.409 0.861 0.593
O13 O 0.421 0.823 0.212
O14 O 0.427 0.823 0.987
O15 O 0.433 0.822 0.812
O16 O 0.436 0.438 0.899
O17 O 0.437 0.823 0.394
O18 O 0.445 0.439 0.306
```

Largest 8 diffraction maxima, by angle, 2θ from 10° to 90°:
d (Å), Rel. int., h k l
6.063, 23, 1 0 0
3.063, 96, 1 1 5
3.033, 100, 2 0 0
2.642, 39, -1 1 5
2.633, 19, 2 2 0
1.864, 46, 1 3 -5
1.598, 20, 2 0 10
1.586, 26, 3 -1 5



Entry 5:
Simulated powder XRD pattern
Compound: Y11Ta5O28
Radiation: λ = 1.5418 Å (Cu Kα)
Structure: a structure optimized by DFT (PBE)
Peak positions follow from Bragg's law for the DFT cell and can differ from measured ones.

Atomic structure:
```
data_Y11Ta5O28
_cell_length_a 24.936
_cell_length_b 7.375
_cell_length_c 6.445
_cell_angle_alpha 90.00
_cell_angle_beta 99.85
_cell_angle_gamma 90.00
_space_group_name_H-M_alt 'C 1 2/m 1'
_space_group_IT_number 12
_space_group_name_Hall '-C 2y'
loop_
_atom_site_label
_atom_site_type_symbol
_atom_site_fract_x
_atom_site_fract_y
_atom_site_fract_z
Y1 Y 0.000 0.000 0.000
Y2 Y 0.000 0.246 0.500
Y3 Y 0.123 0.000 0.780
Y4 Y 0.126 0.500 0.722
Y5 Y 0.241 0.500 0.480
Y6 Y 0.250 0.250 0.000
Ta1 Ta 0.000 0.500 0.000
Ta2 Ta 0.128 0.236 0.258
O1 O 0.027 0.000 0.700
O2 O 0.035 0.500 0.731
O3 O 0.046 0.301 0.143
O4 O 0.096 0.000 0.122
O5 O 0.098 0.223 0.531
O6 O 0.143 0.500 0.359
O7 O 0.145 0.273 0.967
O8 O 0.207 0.221 0.338
O9 O 0.215 0.000 0.803
O10 O 0.216 0.500 0.795
```

Largest 8 diffraction maxima, by angle, 2θ from 10° to 90°:
d (Å), Rel. int., h k l
3.071, 51, 8 0 0
3.040, 52, 4 0 -2
3.024, 100, 2 2 1
2.642, 20, 4 0 2
2.628, 42, 6 2 -1
1.870, 34, 10 2 1
1.856, 31, 2 2 -3
1.588, 33, 10 2 -3



Entry 6:
Simulated powder XRD pattern
Compound: Y11Ta5O28
Radiation: λ = 1.5418 Å (Cu Kα)
Structure: a structure optimized by DFT (PBE)
Peak positions follow from Bragg's law for the DFT cell and can differ from measured ones.

Atomic structure:
```
data_Y11Ta5O28
_cell_length_a 6.453
_cell_length_b 7.371
_cell_length_c 13.030
_cell_angle_alpha 106.42
_cell_angle_beta 99.51
_cell_angle_gamma 90.08
_space_group_name_H-M_alt 'P 1'
_space_group_IT_number 1
_space_group_name_Hall 'P 1'
loop_
_atom_site_label
_atom_site_type_symbol
_atom_site_fract_x
_atom_site_fract_y
_atom_site_fract_z
Y1 Y 0.000 0.000 0.000
Y2 Y 0.001 0.002 0.499
Y3 Y 0.218 0.877 0.253
Y4 Y 0.279 0.375 0.247
Y5 Y 0.478 0.741 0.980
Y6 Y 0.497 0.757 0.501
Y7 Y 0.508 0.245 0.497
Y8 Y 0.522 0.260 0.018
Y9 Y 0.722 0.625 0.751
Y10 Y 0.784 0.123 0.745
Y11 Y 0.999 0.500 0.999
Ta1 Ta 0.001 0.501 0.499
Ta2 Ta 0.259 0.362 0.754
Ta3 Ta 0.259 0.893 0.754
Ta4 Ta 0.741 0.638 0.245
Ta5 Ta 0.742 0.107 0.244
O1 O 0.032 0.129 0.210
O2 O 0.032 0.582 0.210
O3 O 0.121 0.096 0.691
O4 O 0.141 0.348 0.591
O5 O 0.149 0.745 0.589
O6 O 0.197 0.785 0.068
O7 O 0.206 0.286 0.068
O8 O 0.269 0.463 0.430
O9 O 0.301 0.976 0.445
O10 O 0.340 0.987 0.913
O11 O 0.341 0.427 0.912
O12 O 0.356 0.642 0.783
O13 O 0.468 0.122 0.300
O14 O 0.469 0.679 0.301
O15 O 0.532 0.321 0.696
O16 O 0.533 0.877 0.697
O17 O 0.644 0.358 0.215
O18 O 0.662 0.014 0.085
O19 O 0.662 0.573 0.086
O20 O 0.702 0.027 0.554
O21 O 0.731 0.537 0.568
O22 O 0.793 0.716 0.930
O23 O 0.804 0.215 0.930
O24 O 0.852 0.254 0.410
O25 O 0.857 0.654 0.408
O26 O 0.880 0.904 0.307
O27 O 0.969 0.418 0.790
O28 O 0.969 0.870 0.788
```

Largest 8 diffraction maxima, by angle, 2θ from 10° to 90°:
d (Å), Rel. int., h k l
6.093, 17, 1 0 -1
3.078, 52, 0 0 4
3.046, 53, 2 0 -2
3.024, 100, 1 2 0
2.644, 20, 2 0 2
2.631, 42, -1 2 2
1.872, 33, 1 -2 6
1.590, 20, 3 2 -6



Entry 7:
Simulated powder XRD pattern
Compound: Y3TaO7
Radiation: λ = 1.5418 Å (Cu Kα)
Structure: a structure optimized by DFT (PBE)
Peak positions follow from Bragg's law for the DFT cell and can differ from measured ones.

Atomic structure:
```
data_Y3TaO7
_cell_length_a 7.466
_cell_length_b 10.578
_cell_length_c 7.538
_cell_angle_alpha 90.00
_cell_angle_beta 90.00
_cell_angle_gamma 90.00
_space_group_name_H-M_alt 'C m c m'
_space_group_IT_number 63
_space_group_name_Hall '-C 2c 2'
loop_
_atom_site_label
_atom_site_type_symbol
_atom_site_fract_x
_atom_site_fract_y
_atom_site_fract_z
Y1 Y 0.000 0.000 0.000
Y2 Y 0.233 0.267 0.250
Ta1 Ta 0.000 0.500 0.000
O1 O 0.000 0.129 0.750
O2 O 0.000 0.138 0.250
O3 O 0.000 0.436 0.250
O4 O 0.197 0.375 0.531
```

Largest 8 diffraction maxima, by angle, 2θ from 10° to 90°:
d (Å), Rel. int., h k l
6.100, 24, 1 1 0
3.069, 96, 0 2 2
3.050, 100, 2 2 0
2.652, 40, 2 0 2
2.644, 19, 0 4 0
1.873, 60, 2 4 2
1.603, 29, 2 2 4
1.595, 38, 4 2 2



Entry 8:
Simulated powder XRD pattern
Compound: Ta2Zn4O9
Radiation: λ = 1.5418 Å (Cu Kα)
Structure: a structure optimized by DFT (PBE)
Peak positions follow from Bragg's law for the DFT cell and can differ from measured ones.

Atomic structure:
```
data_Ta2Zn4O9
_cell_length_a 5.2438
_cell_length_b 5.2438
_cell_length_c 14.3469
_cell_angle_alpha 90.00
_cell_angle_beta 90.00
_cell_angle_gamma 120.00
_space_group_name_H-M_alt 'P -3 c 1'
_space_group_IT_number 165
_space_group_name_Hall '-P 3 2"c'
loop_
_atom_site_label
_atom_site_type_symbol
_atom_site_fract_x
_atom_site_fract_y
_atom_site_fract_z
Ta1 Ta 0.0000 0.0000 0.1415
Zn1 Zn 0.3333 0.6667 0.0184
Zn2 Zn 0.3333 0.6667 0.3032
O1 O 0.0000 0.2852 0.2500
O2 O 0.0236 0.3403 0.9157
```

Largest 8 diffraction maxima, by angle, 2θ from 10° to 90°:
d (Å), Rel. int., h k l
4.541, 44, 1 0 0
3.837, 15, 0 1 2
2.815, 100, 1 0 4
2.622, 72, 1 1 0
1.918, 37, 0 2 4
1.767, 26, 1 1 6
1.548, 35, 2 1 4
1.514, 22, 3 0 0